Entry 1:
# Ce3GaNi2
Simulated powder diffractogram, Cu Kα (weighted mean of Kα1 and Kα2). Input: a DFT-relaxed cell (PBE, Alexandria).
Kinematic intensities with the Lorentz-polarization factor, no thermal factor.

Top 8 peaks for 2θ from 10° to 80°, in order of rising 2θ:
2θ = 27.14°, I 412
2θ = 32.96°, I 446
2θ = 33.55°, I 1000
2θ = 34.45°, I 421
2θ = 36.08°, I 764
2θ = 37.67°, I 491
2θ = 38.14°, I 449
2θ = 45.04°, I 374

Crystal structure
Unit cell a=6.602 b=9.186 c=10.184 alpha=90.00 beta=124.58 gamma=90.00
Fractional positions:
Ce1 0.175 0.067 0.376
Ce2 0.175 0.433 0.876
Ce3 0.282 0.661 0.124
Ce4 0.282 0.839 0.624
Ce5 0.322 0.061 0.058
Ce6 0.322 0.439 0.558
Ce7 0.678 0.561 0.442
Ce8 0.678 0.939 0.942
Ce9 0.718 0.161 0.376
Ce10 0.718 0.339 0.876
Ce11 0.825 0.567 0.124
Ce12 0.825 0.933 0.624
Ga1 0.230 0.165 0.709
Ga2 0.230 0.335 0.209
Ga3 0.770 0.665 0.791
Ga4 0.770 0.835 0.291
Ni1 0.171 0.714 0.364
Ni2 0.171 0.786 0.864
Ni3 0.436 0.622 0.834
Ni4 0.436 0.878 0.334
Ni5 0.564 0.122 0.666
Ni6 0.564 0.378 0.166
Ni7 0.829 0.214 0.136
Ni8 0.829 0.286 0.636

---

Entry 2:
# In2FeSb
Simulated powder diffractogram, Cu Kα (weighted mean of Kα1 and Kα2). Input: a DFT-relaxed cell (PBE, Alexandria).
Kinematic intensities with the Lorentz-polarization factor, no thermal factor.

Top 8 peaks for 2θ from 10° to 80°, in order of rising 2θ:
2θ = 28.59°, I 811
2θ = 28.87°, I 767
2θ = 29.89°, I 501
2θ = 35.10°, I 1000
2θ = 37.03°, I 720
2θ = 39.57°, I 463
2θ = 44.00°, I 516
2θ = 44.83°, I 424

Crystal structure
Unit cell a=5.108 b=5.108 c=6.556 alpha=111.15 beta=111.15 gamma=36.16
Fractional positions:
In1 0.000 0.000 0.000
In2 0.181 0.181 0.666
Fe1 0.446 0.446 0.642
Sb1 0.840 0.840 0.309